Theoretical XRD peak list
Compound: Sr3Sb2
Radiation: Cu Ka
Structure: a crystal structure in the Materials Project, relaxed with GGA-PBE

Most intense lines, 10 to 90 degrees two-theta, low angle first:
2θ/deg, I (rel.)
14.45, 16.3
20.49, 44.1
25.16, 52.9
29.14, 100.0
35.88, 21.0
41.67, 75.0
49.30, 24.9
51.65, 26.4
68.45, 33.8
76.06, 25.1

Atomic structure:
a b c (Å): 6.1300 6.1300 6.1300
angles (deg): 90.00 90.00 90.00
Space group Pm-3m (No. 221)
Inequivalent atoms, fractional coordinates:
Sr 0.0000 0.0000 0.5000 [3 per cell]
Sb 0.0000 0.0000 0.0000 [1 per cell]
Sb 0.5000 0.5000 0.5000 [1 per cell]